Record 1
The following is a calculated X-ray diffraction stick pattern of Cs3CeSm3Te8. It was derived from a structure optimized by DFT (PBE), using copper Kα.
Lines closer than 0.1° are merged.

Structural model:
```
data_Cs3CeSm3Te8
_cell_length_a 9.1292
_cell_length_b 9.1292
_cell_length_c 27.3164
_cell_angle_alpha 90.00
_cell_angle_beta 90.00
_cell_angle_gamma 120.00
_symmetry_space_group_name_H-M 'R -3 m'
_symmetry_Int_Tables_number 166
_symmetry_space_group_name_Hall '-R 3 2"'
loop_
_atom_site_label
_atom_site_fract_x
_atom_site_fract_y
_atom_site_fract_z
Cs1 0.0000 0.5000 0.0000
Ce1 0.0000 0.0000 0.5000
Sm1 0.0000 0.5000 0.5000
Te1 0.0000 0.0000 0.2309
Te2 0.0036 0.5018 0.2298
```

Principal peaks in the range 2θ from 10° to 90°, sorted by position:
(0 2 4), 26.0°, intensity 100.0; (0 2 7), 32.2°, intensity 15.5; (2 0 8), 34.7°, intensity 31.9; (2 2 0), 39.5°, intensity 37.8; (2 0 11), 43.0°, intensity 10.4; (4 0 4), 47.9°, intensity 18.8; (0 4 8), 53.6°, intensity 9.3; (2 4 4), 63.8°, intensity 16.0; (4 2 8), 68.6°, intensity 8.6; (2 2 18), 75.2°, intensity 7.5


Record 2
The following is a calculated X-ray diffraction stick pattern of CsCe2Te3. It was derived from a structure optimized by DFT (PBE), using copper Kα.
Lines closer than 0.1° are merged.

Structural model:
```
data_CsCe2Te3
_cell_length_a 4.5845
_cell_length_b 4.5845
_cell_length_c 25.4377
_cell_angle_alpha 90.00
_cell_angle_beta 90.00
_cell_angle_gamma 120.00
_symmetry_space_group_name_H-M 'P 63/m m c'
_symmetry_Int_Tables_number 194
_symmetry_space_group_name_Hall '-P 6c 2c'
loop_
_atom_site_label
_atom_site_fract_x
_atom_site_fract_y
_atom_site_fract_z
Cs1 0.0000 0.0000 0.2500
Ce1 0.3333 0.6667 0.0723
Te1 0.0000 0.0000 0.0000
Te2 0.3333 0.6667 0.6421
```

Principal peaks in the range 2θ from 10° to 90°, sorted by position:
(1 0 3), 24.8°, intensity 14.3; (1 0 4), 26.5°, intensity 100.0; (1 0 5), 28.5°, intensity 79.1; (1 0 8), 36.2°, intensity 23.7; (1 0 9), 39.1°, intensity 36.3; (1 1 0), 39.3°, intensity 65.7; (2 0 4), 48.0°, intensity 19.4; (2 0 5), 49.3°, intensity 17.3; (2 1 4), 63.7°, intensity 16.5; (2 1 5), 64.8°, intensity 15.1